Diffraction record for K3SbSe. The X-ray powder pattern is theoretical, not measured: it uses a GGA-PBE-relaxed structure and Cu Ka.
Lines closer than 0.1° are merged.

Crystal structure
```
K3SbSe
1.0
8.2469 -2.2591 0.0000
8.2469 2.2591 0.0000
-1.5114 0.0000 10.6279
K Sb Se
6 2 2
Cartesian
0.6742 0.0000 1.4085 K
2.6002 0.0000 9.0517 K
6.1563 0.0000 3.9457 K
8.8261 0.0000 6.6822 K
12.3822 0.0000 1.5762 K
14.3082 0.0000 9.2195 K
2.6527 0.0000 4.6966 Sb
12.3297 0.0000 5.9313 Sb
6.3619 0.0000 0.8632 Se
8.6205 0.0000 9.7647 Se
```

Top 10 peaks for 10 to 90 degrees two-theta, in order of rising 2θ:
| 2theta | d (Å) | Rel. int. |
| --- | --- | --- |
| 10.8 | 8.165 | 41 |
| 14.6 | 6.075 | 62 |
| 16.7 | 5.314 | 39 |
| 18.6 | 4.771 | 29 |
| 26.2 | 3.396 | 100 |
| 31.0 | 2.884 | 31 |
| 32.0 | 2.797 | 55 |
| 33.2 | 2.699 | 64 |
| 33.9 | 2.646 | 71 |
| 39.9 | 2.259 | 34 |